Computed PXRD pattern of Hg2BiN for Cu Kα (weighted mean of Kα1 and Kα2), from a structure optimized by DFT (GGA-PBE).
Kinematic intensities with the Lorentz-polarization factor, no thermal factor.

Main lines, in order of falling intensity (10° ≤ 2θ ≤ 90°):
2θ (°), Rel. int., hkl
30.14, 100, -1 1 1
26.56, 48, 0 1 -2
34.11, 29, 0 1 4
34.40, 29, 1 0 3
34.54, 28, 1 0 -3
36.57, 21, 0 2 2

Crystal structure
Cell lengths 3.717, 5.076, 11.157 Å; angles 78.36, 89.77, 89.99 degrees
Positions (direct):
1 Hg 0.247 0.284 0.439
2 Hg 0.248 0.595 0.117
3 Hg 0.752 0.405 0.883
4 Hg 0.753 0.716 0.561
5 Bi 0.253 0.050 0.769
6 Bi 0.747 0.950 0.231
7 N 0.251 0.672 0.893
8 N 0.749 0.328 0.107